Entry 1:
Simulated XRD peak list
Compound: Th2Ag4Se5
Radiation: Cu Kα, 1.54184 Å
Structure: a structure optimized by DFT (PBE)
Neutral-atom scattering factors, no anomalous dispersion.

Structural model:
Lattice parameters (Å, degrees): 18.333 18.333 18.333 13.41 13.41 13.41
Element x y z (fractional)
Th 0.137 0.137 0.137
Th 0.863 0.863 0.863
Ag 0.312 0.312 0.312
Ag 0.414 0.414 0.414
Ag 0.586 0.586 0.586
Ag 0.688 0.688 0.688
Se 0.228 0.228 0.228
Se 0.367 0.367 0.367
Se 0.500 0.500 0.500
Se 0.633 0.633 0.633
Se 0.772 0.772 0.772

Principal peaks in the range 5° ≤ 2θ ≤ 70°, in order of rising 2θ:
24.90 deg, intensity 42
26.64 deg, intensity 18
27.39 deg, intensity 18
29.50 deg, intensity 21
30.11 deg, intensity 100
33.38 deg, intensity 24
42.23 deg, intensity 74
43.96 deg, intensity 51
52.36 deg, intensity 26
52.74 deg, intensity 21

***

Entry 2:
Simulated XRD peak list
Compound: ThAg8Se6
Radiation: Cu Kα, 1.54184 Å
Structure: a structure optimized by DFT (PBE)
Neutral-atom scattering factors, no anomalous dispersion.

Structural model:
Lattice parameters (Å, degrees): 9.617 7.621 9.732 90.00 90.00 90.00
Element x y z (fractional)
Th 0.000 0.172 0.000
Th 0.500 0.828 0.500
Ag 0.000 0.575 0.649
Ag 0.000 0.623 0.084
Ag 0.154 0.048 0.487
Ag 0.235 0.770 0.242
Ag 0.243 0.613 0.873
Ag 0.257 0.387 0.373
Ag 0.265 0.230 0.742
Ag 0.346 0.952 0.987
Ag 0.500 0.377 0.584
Ag 0.500 0.425 0.149
Ag 0.654 0.952 0.987
Ag 0.735 0.230 0.742
Ag 0.743 0.387 0.373
Ag 0.757 0.613 0.873
Ag 0.765 0.770 0.242
Ag 0.846 0.048 0.487
Se 0.000 0.233 0.676
Se 0.000 0.379 0.262
Se 0.000 0.804 0.863
Se 0.000 0.945 0.239
Se 0.223 0.709 0.516
Se 0.277 0.291 0.016
Se 0.500 0.055 0.739
Se 0.500 0.196 0.363
Se 0.500 0.621 0.762
Se 0.500 0.767 0.176
Se 0.723 0.291 0.016
Se 0.777 0.709 0.516

Principal peaks in the range 5° ≤ 2θ ≤ 70°, in order of rising 2θ:
25.12 deg, intensity 74
28.61 deg, intensity 49
29.33 deg, intensity 64
29.94 deg, intensity 86
31.24 deg, intensity 100
37.41 deg, intensity 75
41.10 deg, intensity 99
41.24 deg, intensity 48
45.57 deg, intensity 50
48.63 deg, intensity 51

***

Entry 3:
Simulated XRD peak list
Compound: Th3Tl3AgSe8
Radiation: Cu Kα, 1.54184 Å
Structure: a structure optimized by DFT (PBE)
Neutral-atom scattering factors, no anomalous dispersion.

Structural model:
Lattice parameters (Å, degrees): 9.204 9.204 9.204 55.31 55.31 55.31
Element x y z (fractional)
Th 0.000 0.500 0.500
Th 0.500 0.000 0.500
Th 0.500 0.500 0.000
Tl 0.000 0.000 0.500
Tl 0.000 0.500 0.000
Tl 0.500 0.000 0.000
Ag 0.000 0.000 0.000
Se 0.240 0.240 0.723
Se 0.240 0.723 0.240
Se 0.262 0.262 0.262
Se 0.277 0.760 0.760
Se 0.723 0.240 0.240
Se 0.738 0.738 0.738
Se 0.760 0.277 0.760
Se 0.760 0.760 0.277

Principal peaks in the range 5° ≤ 2θ ≤ 70°, in order of rising 2θ:
14.18 deg, intensity 13
22.89 deg, intensity 10
25.26 deg, intensity 19
28.58 deg, intensity 100
39.36 deg, intensity 38
42.31 deg, intensity 36
51.86 deg, intensity 19
59.16 deg, intensity 11
64.88 deg, intensity 14
69.08 deg, intensity 16

***

Entry 4:
Simulated XRD peak list
Compound: TiAg8Se6
Radiation: Cu Kα, 1.54184 Å
Structure: a structure optimized by DFT (PBE)
Neutral-atom scattering factors, no anomalous dispersion.

Structural model:
Lattice parameters (Å, degrees): 8.102 7.777 10.977 90.00 90.00 90.00
Element x y z (fractional)
Ti 0.000 0.230 0.000
Ti 0.500 0.770 0.500
Ag 0.000 0.796 0.959
Ag 0.000 0.883 0.525
Ag 0.188 0.973 0.757
Ag 0.209 0.389 0.348
Ag 0.227 0.337 0.636
Ag 0.273 0.663 0.136
Ag 0.291 0.611 0.848
Ag 0.312 0.027 0.257
Ag 0.500 0.117 0.025
Ag 0.500 0.204 0.459
Ag 0.688 0.027 0.257
Ag 0.709 0.611 0.848
Ag 0.727 0.663 0.136
Ag 0.773 0.337 0.636
Ag 0.791 0.389 0.348
Ag 0.812 0.973 0.757
Se 0.000 0.222 0.493
Se 0.000 0.475 0.138
Se 0.000 0.686 0.730
Se 0.000 0.997 0.146
Se 0.247 0.746 0.385
Se 0.253 0.254 0.885
Se 0.500 0.003 0.646
Se 0.500 0.314 0.230
Se 0.500 0.525 0.638
Se 0.500 0.778 0.993
Se 0.747 0.254 0.885
Se 0.753 0.746 0.385

Principal peaks in the range 5° ≤ 2θ ≤ 70°, in order of rising 2θ:
27.36 deg, intensity 100
28.12 deg, intensity 63
34.65 deg, intensity 71
35.00 deg, intensity 53
40.52 deg, intensity 45
41.37 deg, intensity 60
42.20 deg, intensity 60
42.70 deg, intensity 47
44.74 deg, intensity 50
46.28 deg, intensity 83

***

Repeat the second record exactly.
Simulated XRD peak list
Compound: ThAg8Se6
Radiation: Cu Kα, 1.54184 Å
Structure: a structure optimized by DFT (PBE)
Neutral-atom scattering factors, no anomalous dispersion.

Structural model:
Lattice parameters (Å, degrees): 9.617 7.621 9.732 90.00 90.00 90.00
Element x y z (fractional)
Th 0.000 0.172 0.000
Th 0.500 0.828 0.500
Ag 0.000 0.575 0.649
Ag 0.000 0.623 0.084
Ag 0.154 0.048 0.487
Ag 0.235 0.770 0.242
Ag 0.243 0.613 0.873
Ag 0.257 0.387 0.373
Ag 0.265 0.230 0.742
Ag 0.346 0.952 0.987
Ag 0.500 0.377 0.584
Ag 0.500 0.425 0.149
Ag 0.654 0.952 0.987
Ag 0.735 0.230 0.742
Ag 0.743 0.387 0.373
Ag 0.757 0.613 0.873
Ag 0.765 0.770 0.242
Ag 0.846 0.048 0.487
Se 0.000 0.233 0.676
Se 0.000 0.379 0.262
Se 0.000 0.804 0.863
Se 0.000 0.945 0.239
Se 0.223 0.709 0.516
Se 0.277 0.291 0.016
Se 0.500 0.055 0.739
Se 0.500 0.196 0.363
Se 0.500 0.621 0.762
Se 0.500 0.767 0.176
Se 0.723 0.291 0.016
Se 0.777 0.709 0.516

Principal peaks in the range 5° ≤ 2θ ≤ 70°, in order of rising 2θ:
25.12 deg, intensity 74
28.61 deg, intensity 49
29.33 deg, intensity 64
29.94 deg, intensity 86
31.24 deg, intensity 100
37.41 deg, intensity 75
41.10 deg, intensity 99
41.24 deg, intensity 48
45.57 deg, intensity 50
48.63 deg, intensity 51